For La2Si3O9, a GGA-PBE-relaxed structure gives the theoretical powder X-ray diffraction pattern in this record (λ = 1.5418 Å (Cu Kα)).
No peak broadening, texture or thermal motion is included.

Structure:
Cell: 5.5305 7.4724 8.7832 Å, 109.77 108.33 90.05°
Fractional positions:
1 La 0.1132 0.2122 0.2255
2 La 0.2096 0.8274 0.4199
3 La 0.7904 0.1726 0.5801
4 La 0.8868 0.7878 0.7745
5 Si 0.2363 0.5002 0.0000
6 Si 0.3311 0.4595 0.6619
7 Si 0.4313 0.0742 0.8625
8 Si 0.5687 0.9258 0.1375
9 Si 0.6689 0.5405 0.3381
10 Si 0.7637 0.4998 0.0000
11 O 0.0220 0.6702 0.0442
12 O 0.1343 0.0135 0.7114
13 O 0.1441 0.4884 0.7824
14 O 0.2614 0.2425 0.5245
15 O 0.2898 0.6218 0.5776
16 O 0.2968 0.9999 0.0001
17 O 0.3615 0.5121 0.2177
18 O 0.4230 0.9863 0.2888
19 O 0.4759 0.3239 0.9519
20 O 0.5241 0.6761 0.0481
21 O 0.5770 0.0137 0.7112
22 O 0.6385 0.4879 0.7823
23 O 0.7032 0.0001 0.9999
24 O 0.7102 0.3782 0.4224
25 O 0.7386 0.7575 0.4755
26 O 0.8559 0.5116 0.2176
27 O 0.8657 0.9865 0.2886
28 O 0.9780 0.3298 0.9558

Main lines, by intensity (15° ≤ 2θ ≤ 90°):
Position (°2θ)  I (rel.)
29.6  100.0
30.0  87.5
29.0  41.4
46.3  39.1
32.2  39.0
41.7  34.1
32.4  34.1
56.0  29.0
23.5  27.9
17.0  25.7

***

For La2Si3O9, a GGA-PBE-relaxed structure gives the theoretical powder X-ray diffraction pattern in this record (λ = 1.5418 Å (Cu Kα)).
No peak broadening, texture or thermal motion is included.

Structure:
Cell: 6.8670 6.8670 10.2920 Å, 90.00 90.00 120.00°
Fractional positions:
1 La 0.3333 0.6667 0.0136
2 La 0.3333 0.6667 0.4864
3 La 0.6667 0.3333 0.5136
4 La 0.6667 0.3333 0.9864
5 Si 0.0221 0.2647 0.7500
6 Si 0.2426 0.9779 0.7500
7 Si 0.2647 0.2426 0.2500
8 Si 0.7353 0.7574 0.7500
9 Si 0.7574 0.0221 0.2500
10 Si 0.9779 0.7353 0.2500
11 O 0.0189 0.2324 0.2500
12 O 0.0238 0.3975 0.6179
13 O 0.0238 0.3975 0.8821
14 O 0.2135 0.9811 0.2500
15 O 0.2324 0.2135 0.7500
16 O 0.3738 0.9762 0.6179
17 O 0.3738 0.9762 0.8821
18 O 0.3975 0.3738 0.1179
19 O 0.3975 0.3738 0.3821
20 O 0.6025 0.6262 0.6179
21 O 0.6025 0.6262 0.8821
22 O 0.6262 0.0238 0.1179
23 O 0.6262 0.0238 0.3821
24 O 0.7676 0.7865 0.2500
25 O 0.7865 0.0189 0.7500
26 O 0.9762 0.6025 0.1179
27 O 0.9762 0.6025 0.3821
28 O 0.9811 0.7676 0.7500

Main lines, by intensity (15° ≤ 2θ ≤ 90°):
Position (°2θ)  I (rel.)
31.3  100.0
22.9  83.8
44.0  34.6
26.0  28.9
45.8  24.1
40.1  20.3
58.8  20.2
46.7  18.3
56.5  18.3
49.3  17.9

***

For La2SiO5, a GGA-PBE-relaxed structure gives the theoretical powder X-ray diffraction pattern in this record (λ = 1.5418 Å (Cu Kα)).
No peak broadening, texture or thermal motion is included.

Structure:
Cell: 4.2757 10.5931 10.6057 Å, 90.00 90.87 90.00°
Fractional positions:
1 La 0.2411 0.0623 0.1378
2 La 0.2411 0.4377 0.6378
3 La 0.2441 0.7101 0.0819
4 La 0.2441 0.7899 0.5819
5 La 0.7559 0.2101 0.4181
6 La 0.7559 0.2899 0.9181
7 La 0.7589 0.5623 0.3622
8 La 0.7589 0.9377 0.8622
9 Si 0.3311 0.1351 0.6989
10 Si 0.3311 0.3649 0.1989
11 Si 0.6689 0.6351 0.8011
12 Si 0.6689 0.8649 0.3011
13 O 0.2314 0.2458 0.2951
14 O 0.2314 0.2542 0.7951
15 O 0.2314 0.5148 0.2202
16 O 0.2314 0.9852 0.7202
17 O 0.2452 0.5976 0.4824
18 O 0.2452 0.9024 0.9824
19 O 0.2661 0.1849 0.5536
20 O 0.2661 0.3151 0.0536
21 O 0.2923 0.6320 0.7633
22 O 0.2923 0.8680 0.2633
23 O 0.7077 0.1320 0.7367
24 O 0.7077 0.3680 0.2367
25 O 0.7339 0.6849 0.9464
26 O 0.7339 0.8151 0.4464
27 O 0.7548 0.0976 0.0176
28 O 0.7548 0.4024 0.5176
29 O 0.7686 0.0148 0.2798
30 O 0.7686 0.4852 0.7798
31 O 0.7686 0.7458 0.2049
32 O 0.7686 0.7542 0.7049

Main lines, by intensity (15° ≤ 2θ ≤ 90°):
Position (°2θ)  I (rel.)
26.6  100.0
30.4  82.1
27.0  50.6
32.9  32.1
28.2  30.4
42.3  30.3
18.7  20.6
47.7  18.9
48.1  16.2
34.9  15.6

***

For La2SiO5, a GGA-PBE-relaxed structure gives the theoretical powder X-ray diffraction pattern in this record (λ = 1.5418 Å (Cu Kα)).
No peak broadening, texture or thermal motion is included.

Structure:
Cell: 8.2914 8.2914 11.1338 Å, 118.25 118.25 51.24°
Fractional positions:
1 La 0.0354 0.2600 0.8363
2 La 0.2122 0.7155 0.5342
3 La 0.2600 0.0354 0.3363
4 La 0.2845 0.7878 0.9658
5 La 0.7155 0.2122 0.0342
6 La 0.7400 0.9646 0.6637
7 La 0.7878 0.2845 0.4658
8 La 0.9646 0.7400 0.1637
9 Si 0.2362 0.4046 0.6931
10 Si 0.4046 0.2362 0.1931
11 Si 0.5954 0.7638 0.8069
12 Si 0.7638 0.5954 0.3069
13 O 0.0679 0.3436 0.6697
14 O 0.0722 0.8979 0.1073
15 O 0.1021 0.9278 0.3927
16 O 0.1069 0.6535 0.6821
17 O 0.2371 0.3731 0.0726
18 O 0.3436 0.0679 0.1697
19 O 0.3465 0.8931 0.8179
20 O 0.3731 0.2371 0.5726
21 O 0.4015 0.4047 0.8531
22 O 0.4047 0.4015 0.3531
23 O 0.5953 0.5985 0.6469
24 O 0.5985 0.5953 0.1469
25 O 0.6269 0.7629 0.4274
26 O 0.6535 0.1069 0.1821
27 O 0.6564 0.9321 0.8303
28 O 0.7629 0.6269 0.9274
29 O 0.8931 0.3465 0.3179
30 O 0.8979 0.0722 0.6073
31 O 0.9278 0.1021 0.8927
32 O 0.9321 0.6564 0.3303

Main lines, by intensity (15° ≤ 2θ ≤ 90°):
Position (°2θ)  I (rel.)
28.8  100.0
21.8  92.3
27.8  75.9
24.2  64.7
26.6  63.9
28.6  38.7
49.9  37.1
33.7  35.1
38.6  34.1
28.2  32.4

***

For La3Si2O8, a GGA-PBE-relaxed structure gives the theoretical powder X-ray diffraction pattern in this record (λ = 1.5418 Å (Cu Kα)).
No peak broadening, texture or thermal motion is included.

Structure:
Cell: 7.3633 7.3633 7.3633 Å, 43.62 43.62 43.62°
Fractional positions:
1 La 0.0000 0.0000 0.0000
2 La 0.2052 0.2052 0.2052
3 La 0.7948 0.7948 0.7948
4 Si 0.4053 0.4053 0.4053
5 Si 0.5947 0.5947 0.5947
6 O 0.2388 0.7315 0.7315
7 O 0.2685 0.2685 0.7612
8 O 0.2685 0.7612 0.2685
9 O 0.3233 0.3233 0.3233
10 O 0.6767 0.6767 0.6767
11 O 0.7315 0.2388 0.7315
12 O 0.7315 0.7315 0.2388
13 O 0.7612 0.2685 0.2685

Main lines, by intensity (15° ≤ 2θ ≤ 90°):
Position (°2θ)  I (rel.)
29.3  100.0
32.7  91.0
44.5  41.5
56.3  31.7
19.3  30.3
49.6  28.0
25.9  21.9
70.7  19.3
42.2  17.5
58.4  17.0

***

For La4SiSnO, a GGA-PBE-relaxed structure gives the theoretical powder X-ray diffraction pattern in this record (λ = 1.5418 Å (Cu Kα)).
No peak broadening, texture or thermal motion is included.

Structure:
Cell: 9.2984 9.2984 6.8067 Å, 90.00 90.00 137.27°
Fractional positions:
1 La 0.0000 0.5000 0.0000
2 La 0.0000 0.5000 0.5000
3 La 0.0614 0.9386 0.7500
4 La 0.4218 0.5782 0.7500
5 La 0.5000 0.0000 0.0000
6 La 0.5000 0.0000 0.5000
7 La 0.5782 0.4218 0.2500
8 La 0.9386 0.0614 0.2500
9 Si 0.1185 0.8815 0.2500
10 Si 0.8815 0.1185 0.7500
11 Sn 0.3900 0.6100 0.2500
12 Sn 0.6100 0.3900 0.7500
13 O 0.2675 0.7325 0.7500
14 O 0.7325 0.2675 0.2500

Main lines, by intensity (15° ≤ 2θ ≤ 90°):
Position (°2θ)  I (rel.)
37.5  100.0
28.2  86.9
28.3  86.0
49.4  60.9
31.0  56.3
33.5  53.5
33.6  53.1
31.9  48.6
62.0  31.9
49.9  26.0

***

For La2Ti2SiO9, a GGA-PBE-relaxed structure gives the theoretical powder X-ray diffraction pattern in this record (λ = 1.5418 Å (Cu Kα)).
No peak broadening, texture or thermal motion is included.

Structure:
Cell: 9.0167 9.0167 7.7709 Å, 109.93 109.93 37.39°
Fractional positions:
1 La 0.1060 0.1060 0.1947
2 La 0.2117 0.2117 0.8074
3 La 0.7883 0.7883 0.1926
4 La 0.8940 0.8940 0.8053
5 Ti 0.2406 0.7594 0.5000
6 Ti 0.4195 0.4195 0.0558
7 Ti 0.5805 0.5805 0.9442
8 Ti 0.7594 0.2406 0.5000
9 Si 0.3365 0.3365 0.5175
10 Si 0.6635 0.6635 0.4825
11 O 0.0242 0.0242 0.6773
12 O 0.1000 0.5788 0.0174
13 O 0.1392 0.6261 0.4876
14 O 0.2446 0.2446 0.3595
15 O 0.2774 0.7226 0.0000
16 O 0.3416 0.3416 0.7305
17 O 0.3739 0.8608 0.5124
18 O 0.4212 0.9000 0.9826
19 O 0.4722 0.4722 0.3142
20 O 0.5278 0.5278 0.6858
21 O 0.5788 0.1000 0.0174
22 O 0.6261 0.1392 0.4876
23 O 0.6584 0.6584 0.2695
24 O 0.7226 0.2774 0.0000
25 O 0.7554 0.7554 0.6405
26 O 0.8608 0.3739 0.5124
27 O 0.9000 0.4212 0.9826
28 O 0.9758 0.9758 0.3227

Main lines, by intensity (15° ≤ 2θ ≤ 90°):
Position (°2θ)  I (rel.)
28.8  100.0
28.7  90.2
31.4  46.6
22.8  44.0
44.7  39.3
39.9  38.1
30.9  33.0
27.9  31.4
53.7  29.8
46.6  17.9